# Li3ZnAu4
Simulated X-ray powder pattern, Cu Ka. Input: a cell relaxed with PBE.

Structural model:
```
8
Lattice="6.8538 -2.1821 0.0000 6.8538 2.1821 0.0000 -1.3800 0.0000 4.1412" Properties=species:S:1:pos:R:3 pbc="T T T"
Li 0.0000 0.0000 0.0000
Li 3.0907 0.0000 1.0398
Li 9.2370 0.0000 3.1014
Zn 6.1638 0.0000 2.0706
Au 0.8747 0.0000 2.5959
Au 3.9089 0.0000 3.6164
Au 8.4188 0.0000 0.5248
Au 11.4529 0.0000 1.5453
```

Largest 10 diffraction maxima, by angle, 5° ≤ 2θ ≤ 70°:
2θ = 27.43°, intensity 44; 2θ = 28.93°, intensity 77; 2θ = 40.29°, intensity 100; 2θ = 41.37°, intensity 46; 2θ = 50.34°, intensity 26; 2θ = 50.42°, intensity 9; 2θ = 56.62°, intensity 9; 2θ = 59.94°, intensity 16; 2θ = 64.77°, intensity 8; 2θ = 67.91°, intensity 14